This entry pairs a crystal structure of KCuN with its calculated X-ray diffraction stick pattern. Radiation: Cu Kα (λ = 1.5418 Å). Structure: the PBE geometry in the Materials Project.

The 10 most intense peaks (2θ = 10–90°), by angle:
2θ = 20.32°, d 4.370, I 142
2θ = 20.62°, d 4.308, I 161
2θ = 27.59°, d 3.233, I 298
2θ = 29.11°, d 3.068, I 1000
2θ = 34.51°, d 2.599, I 443
2θ = 40.70°, d 2.217, I 172
2θ = 41.32°, d 2.185, I 183
2θ = 41.95°, d 2.154, I 164
2θ = 50.41°, d 1.810, I 110
2θ = 61.12°, d 1.516, I 186

Structure:
Cell lengths 4.647, 4.647, 8.741 Å; angles 90.07, 90.07, 44.08 degrees
Positions (direct):
K 0.021 0.979 0.500
K 0.979 0.021 0.000
Cu 0.710 0.742 0.250
Cu 0.742 0.710 0.750
N 0.212 0.245 0.250
N 0.245 0.212 0.750